Entry 1:
Diffraction record for Ni9Ge2H. The X-ray diffraction stick pattern is computed, not measured: it uses a structure optimized by DFT (GGA-PBE) and Cu Ka.

```
data_Ni9Ge2H
_cell_length_a 3.580
_cell_length_b 3.580
_cell_length_c 10.148
_cell_angle_alpha 90.00
_cell_angle_beta 90.00
_cell_angle_gamma 90.00
_symmetry_space_group_name_H-M 'P 4/m m m'
_symmetry_Int_Tables_number 123
_symmetry_space_group_name_Hall '-P 4 2'
loop_
_atom_site_label
_atom_site_type_symbol
_atom_site_fract_x
_atom_site_fract_y
_atom_site_fract_z
Ni1 Ni 0.000 0.000 0.000
Ni2 Ni 0.000 0.000 0.326
Ni3 Ni 0.000 0.500 0.149
Ni4 Ni 0.000 0.500 0.500
Ge1 Ge 0.500 0.500 0.320
H1 H 0.500 0.500 0.000
```

The 8 most intense peaks (2θ from 10° to 80°), sorted by position:
(hkl), Position (°2θ), I/Imax
1 0 1, 26.39, 4
1 0 2, 30.56, 4
1 1 2, 39.79, 7
1 1 3, 44.71, 100
2 0 0, 51.01, 34
0 0 6, 54.23, 11
2 2 0, 75.04, 10
2 0 6, 77.67, 14



Entry 2:
Diffraction record for SmThPS. The X-ray diffraction stick pattern is computed, not measured: it uses a structure optimized by DFT (GGA-PBE) and Cu Ka.

```
data_SmThPS
_cell_length_a 4.072
_cell_length_b 4.072
_cell_length_c 5.770
_cell_angle_alpha 90.00
_cell_angle_beta 90.00
_cell_angle_gamma 90.00
_symmetry_space_group_name_H-M 'P 4/m m m'
_symmetry_Int_Tables_number 123
_symmetry_space_group_name_Hall '-P 4 2'
loop_
_atom_site_label
_atom_site_type_symbol
_atom_site_fract_x
_atom_site_fract_y
_atom_site_fract_z
Sm1 Sm 0.000 0.000 0.000
Th1 Th 0.500 0.500 0.500
P1 P 0.500 0.500 0.000
S1 S 0.000 0.000 0.500
```

The 8 most intense peaks (2θ from 10° to 80°), sorted by position:
(hkl), Position (°2θ), I/Imax
1 0 1, 26.80, 94
1 1 0, 31.04, 100
2 0 0, 44.47, 74
2 1 1, 52.68, 48
2 0 2, 55.22, 26
3 0 1, 71.35, 20
1 1 4, 73.41, 11
3 1 0, 73.54, 22



Entry 3:
Diffraction record for CeBeH6Pd. The X-ray diffraction stick pattern is computed, not measured: it uses a structure optimized by DFT (GGA-PBE) and Cu Ka.

```
data_CeBeH6Pd
_cell_length_a 4.3751
_cell_length_b 4.3751
_cell_length_c 4.3762
_cell_angle_alpha 90.00
_cell_angle_beta 90.00
_cell_angle_gamma 120.00
_symmetry_space_group_name_H-M 'P -6 m 2'
_symmetry_Int_Tables_number 187
_symmetry_space_group_name_Hall 'P -6 2'
loop_
_atom_site_label
_atom_site_type_symbol
_atom_site_fract_x
_atom_site_fract_y
_atom_site_fract_z
Ce1 Ce 0.0000 0.0000 0.0000
Be1 Be 0.6667 0.3333 0.5000
H1 H 0.5128 0.0255 0.2229
Pd1 Pd 0.3333 0.6667 0.5000
```

The 8 most intense peaks (2θ from 10° to 80°), sorted by position:
(hkl), Position (°2θ), I/Imax
1 0 0, 23.48, 30
1 0 1, 31.23, 100
1 1 0, 41.27, 42
2 0 0, 48.02, 15
2 0 1, 52.65, 23
1 1 2, 59.78, 22
2 1 0, 65.14, 7
1 0 3, 69.00, 30



Entry 4:
Diffraction record for NaCeSe2. The X-ray diffraction stick pattern is computed, not measured: it uses a structure optimized by DFT (GGA-PBE) and Cu Ka.

```
data_NaCeSe2
_cell_length_a 4.2748
_cell_length_b 4.2748
_cell_length_c 14.3241
_cell_angle_alpha 90.00
_cell_angle_beta 90.00
_cell_angle_gamma 120.00
_symmetry_space_group_name_H-M 'P 63/m m c'
_symmetry_Int_Tables_number 194
_symmetry_space_group_name_Hall '-P 6c 2c'
loop_
_atom_site_label
_atom_site_type_symbol
_atom_site_fract_x
_atom_site_fract_y
_atom_site_fract_z
Na1 Na 0.3333 0.6667 0.2500
Ce1 Ce 0.0000 0.0000 0.0000
Se1 Se 0.3333 0.6667 0.6155
```

The 8 most intense peaks (2θ from 10° to 80°), sorted by position:
(hkl), Position (°2θ), I/Imax
0 0 2, 12.36, 85
1 0 2, 27.11, 94
1 0 3, 30.56, 62
1 0 4, 34.86, 100
1 1 0, 42.28, 73
1 0 6, 45.19, 37
0 0 8, 50.98, 38
1 1 8, 68.33, 48



Entry 5:
Diffraction record for Al2ZnGa6. The X-ray diffraction stick pattern is computed, not measured: it uses a structure optimized by DFT (GGA-PBE) and Cu Ka.

```
data_Al2ZnGa6
_cell_length_a 2.9313
_cell_length_b 2.9313
_cell_length_c 21.7287
_cell_angle_alpha 90.00
_cell_angle_beta 90.00
_cell_angle_gamma 120.00
_symmetry_space_group_name_H-M 'P -6 m 2'
_symmetry_Int_Tables_number 187
_symmetry_space_group_name_Hall 'P -6 2'
loop_
_atom_site_label
_atom_site_type_symbol
_atom_site_fract_x
_atom_site_fract_y
_atom_site_fract_z
Al1 Al 0.0000 0.0000 0.1692
Zn1 Zn 0.6667 0.3333 0.5000
Ga1 Ga 0.0000 0.0000 0.3945
Ga2 Ga 0.6667 0.3333 0.0604
Ga3 Ga 0.6667 0.3333 0.2794
```

The 8 most intense peaks (2θ from 10° to 80°), sorted by position:
(hkl), Position (°2θ), I/Imax
1 0 0, 35.36, 60
0 0 9, 37.24, 53
1 0 4, 39.17, 79
1 0 5, 41.18, 100
1 0 9, 52.29, 37
1 1 0, 63.47, 33
1 0 14, 71.21, 24
1 1 9, 75.95, 37



Entry 6:
Diffraction record for LaRe2. The X-ray diffraction stick pattern is computed, not measured: it uses a structure optimized by DFT (GGA-PBE) and Cu Ka.

```
data_LaRe2
_cell_length_a 4.1951
_cell_length_b 4.1951
_cell_length_c 4.7167
_cell_angle_alpha 90.00
_cell_angle_beta 90.00
_cell_angle_gamma 120.00
_symmetry_space_group_name_H-M 'P -3 m 1'
_symmetry_Int_Tables_number 164
_symmetry_space_group_name_Hall '-P 3 2"'
loop_
_atom_site_label
_atom_site_type_symbol
_atom_site_fract_x
_atom_site_fract_y
_atom_site_fract_z
La1 La 0.0000 0.0000 0.0000
Re1 Re 0.3333 0.6667 0.5339
```

The 8 most intense peaks (2θ from 10° to 80°), sorted by position:
(hkl), Position (°2θ), I/Imax
0 0 1, 18.81, 26
1 0 1, 31.07, 100
0 0 2, 38.16, 20
1 1 0, 43.13, 50
1 1 1, 47.44, 15
0 2 1, 54.10, 21
1 1 2, 58.93, 35
2 1 1, 71.57, 18



Entry 7:
Diffraction record for Ta2VGe6. The X-ray diffraction stick pattern is computed, not measured: it uses a structure optimized by DFT (GGA-PBE) and Cu Ka.

```
data_Ta2VGe6
_cell_length_a 4.930
_cell_length_b 8.608
_cell_length_c 6.751
_cell_angle_alpha 90.00
_cell_angle_beta 90.00
_cell_angle_gamma 90.00
_symmetry_space_group_name_H-M 'C 2 2 2'
_symmetry_Int_Tables_number 21
loop_
_symmetry_equiv_pos_as_xyz
'x,y,z'
'-x,-y,z'
'x,-y,-z'
'-x,y,-z'
'x+1/2,y+1/2,z'
'-x+1/2,-y+1/2,z'
'x+1/2,-y+1/2,-z'
'-x+1/2,y+1/2,-z'
loop_
_atom_site_label
_atom_site_type_symbol
_atom_site_fract_x
_atom_site_fract_y
_atom_site_fract_z
Ta1 Ta 0.250 0.250 0.163
V1 V 0.000 0.000 0.500
Ge1 Ge 0.000 0.335 0.500
Ge2 Ge 0.250 0.080 0.827
```

The 8 most intense peaks (2θ from 10° to 80°), sorted by position:
(hkl), Position (°2θ), I/Imax
1 1 1, 24.64, 28
2 0 0, 36.45, 17
1 3 1, 38.68, 100
2 0 1, 38.89, 37
0 0 3, 40.07, 45
1 3 2, 45.38, 62
2 0 2, 45.55, 29
1 3 4, 67.08, 39



Entry 8:
Diffraction record for Cs3Dy3ScS8. The X-ray diffraction stick pattern is computed, not measured: it uses a structure optimized by DFT (GGA-PBE) and Cu Ka.

```
data_Cs3Dy3ScS8
_cell_length_a 13.863
_cell_length_b 7.998
_cell_length_c 9.418
_cell_angle_alpha 90.00
_cell_angle_beta 119.43
_cell_angle_gamma 90.00
_symmetry_space_group_name_H-M 'C 1 2/m 1'
_symmetry_Int_Tables_number 12
loop_
_symmetry_equiv_pos_as_xyz
'x,y,z'
'-x,-y,-z'
'-x,y,-z'
'x,-y,z'
'x+1/2,y+1/2,z'
'-x+1/2,-y+1/2,-z'
'-x+1/2,y+1/2,-z'
'x+1/2,-y+1/2,z'
loop_
_atom_site_label
_atom_site_type_symbol
_atom_site_fract_x
_atom_site_fract_y
_atom_site_fract_z
Cs1 Cs 0.000 0.000 0.000
Cs2 Cs 0.250 0.250 0.000
Dy1 Dy 0.000 0.500 0.500
Dy2 Dy 0.250 0.250 0.500
Sc1 Sc 0.000 0.000 0.500
S1 S 0.022 0.240 0.326
S2 S 0.218 0.000 0.674
S3 S 0.227 0.500 0.682
```

The 8 most intense peaks (2θ from 10° to 80°), sorted by position:
(hkl), Position (°2θ), I/Imax
2 0 0, 14.67, 24
0 0 2, 21.67, 31
2 2 0, 26.73, 43
4 0 0, 29.59, 100
2 2 2, 39.16, 36
4 0 2, 45.20, 20
0 4 0, 45.34, 32
0 4 2, 50.78, 20



Entry 9:
Diffraction record for Sm4GaGe. The X-ray diffraction stick pattern is computed, not measured: it uses a structure optimized by DFT (GGA-PBE) and Cu Ka.

```
data_Sm4GaGe
_cell_length_a 6.253
_cell_length_b 6.609
_cell_length_c 8.811
_cell_angle_alpha 90.00
_cell_angle_beta 110.60
_cell_angle_gamma 90.00
_symmetry_space_group_name_H-M 'P 1 21/m 1'
_symmetry_Int_Tables_number 11
loop_
_symmetry_equiv_pos_as_xyz
'x,y,z'
'-x,-y,-z'
'-x,y+1/2,-z'
'x,-y+1/2,z'
loop_
_atom_site_label
_atom_site_type_symbol
_atom_site_fract_x
_atom_site_fract_y
_atom_site_fract_z
Sm1 Sm 0.006 0.000 0.257
Sm2 Sm 0.406 0.250 0.092
Sm3 Sm 0.418 0.250 0.615
Ga1 Ga 0.255 0.750 0.567
Ge1 Ge 0.222 0.750 0.052
```

The 8 most intense peaks (2θ from 10° to 80°), sorted by position:
(hkl), Position (°2θ), I/Imax
1 1 -2, 25.46, 27
2 0 -2, 30.60, 100
1 2 0, 31.08, 69
2 1 -2, 33.53, 54
1 2 -2, 34.79, 83
1 0 -4, 40.97, 30
3 2 -2, 52.19, 24
2 2 -4, 52.30, 31



Entry 10:
Diffraction record for La6CeTh2. The X-ray diffraction stick pattern is computed, not measured: it uses a structure optimized by DFT (GGA-PBE) and Cu Ka.

```
data_La6CeTh2
_cell_length_a 3.6321
_cell_length_b 3.6321
_cell_length_c 27.5502
_cell_angle_alpha 90.00
_cell_angle_beta 90.00
_cell_angle_gamma 120.00
_symmetry_space_group_name_H-M 'P -6 m 2'
_symmetry_Int_Tables_number 187
_symmetry_space_group_name_Hall 'P -6 2'
loop_
_atom_site_label
_atom_site_type_symbol
_atom_site_fract_x
_atom_site_fract_y
_atom_site_fract_z
La1 La 0.0000 0.0000 0.0633
La2 La 0.0000 0.0000 0.2771
La3 La 0.3333 0.6667 0.3952
Ce1 Ce 0.0000 0.0000 0.5000
Th1 Th 0.3333 0.6667 0.1697
```

The 8 most intense peaks (2θ from 10° to 80°), sorted by position:
(hkl), Position (°2θ), I/Imax
1 0 0, 28.37, 49
0 0 9, 29.17, 66
1 0 4, 31.26, 71
1 0 5, 32.78, 100
1 0 9, 41.15, 34
1 1 0, 50.24, 41
1 0 14, 55.05, 30
1 1 9, 59.15, 48



Entry 11:
Diffraction record for Li3B4C2. The X-ray diffraction stick pattern is computed, not measured: it uses a structure optimized by DFT (GGA-PBE) and Cu Ka.

```
data_Li3B4C2
_cell_length_a 4.9007
_cell_length_b 4.9007
_cell_length_c 3.5042
_cell_angle_alpha 90.00
_cell_angle_beta 90.00
_cell_angle_gamma 120.00
_symmetry_space_group_name_H-M 'P -6 2 m'
_symmetry_Int_Tables_number 189
_symmetry_space_group_name_Hall 'P -6 -2'
loop_
_atom_site_label
_atom_site_type_symbol
_atom_site_fract_x
_atom_site_fract_y
_atom_site_fract_z
Li1 Li 0.0000 0.6650 0.0000
B1 B 0.0000 0.0000 0.5000
B2 B 0.0000 0.3477 0.5000
C1 C 0.3333 0.6667 0.5000
```

The 8 most intense peaks (2θ from 10° to 80°), sorted by position:
(hkl), Position (°2θ), I/Imax
1 0 0, 20.93, 4
0 0 1, 25.42, 100
1 0 1, 33.15, 2
1 1 0, 36.68, 8
1 1 1, 45.15, 94
0 0 2, 52.21, 24
3 0 0, 66.04, 31
3 0 1, 71.98, 10



Entry 12:
Diffraction record for Cs2DySi2Au7. The X-ray diffraction stick pattern is computed, not measured: it uses a structure optimized by DFT (GGA-PBE) and Cu Ka.

```
data_Cs2DySi2Au7
_cell_length_a 6.678
_cell_length_b 6.709
_cell_length_c 13.423
_cell_angle_alpha 90.00
_cell_angle_beta 90.78
_cell_angle_gamma 90.00
_symmetry_space_group_name_H-M 'C 1 2/m 1'
_symmetry_Int_Tables_number 12
loop_
_symmetry_equiv_pos_as_xyz
'x,y,z'
'-x,-y,-z'
'-x,y,-z'
'x,-y,z'
'x+1/2,y+1/2,z'
'-x+1/2,-y+1/2,-z'
'-x+1/2,y+1/2,-z'
'x+1/2,-y+1/2,z'
loop_
_atom_site_label
_atom_site_type_symbol
_atom_site_fract_x
_atom_site_fract_y
_atom_site_fract_z
Cs1 Cs 0.007 0.000 0.140
Dy1 Dy 0.000 0.000 0.500
Si1 Si 0.023 0.500 0.288
Au1 Au 0.000 0.500 0.500
Au2 Au 0.006 0.500 0.101
Au3 Au 0.243 0.261 0.642
```

The 8 most intense peaks (2θ from 10° to 80°), sorted by position:
(hkl), Position (°2θ), I/Imax
0 0 4, 26.57, 30
2 0 -1, 27.42, 35
2 0 -2, 29.75, 26
2 0 -3, 33.26, 37
0 2 3, 33.38, 82
2 0 3, 33.71, 36
2 2 0, 38.02, 100
4 2 -3, 65.60, 23